# 1
Calculated powder XRD pattern of V4PH for copper Kα, from the GGA-PBE geometry in Alexandria.
Intensities are scaled so that the largest is 100.

Atomic structure:
```
data_V4PH
_cell_length_a 6.9517
_cell_length_b 6.9517
_cell_length_c 6.3445
_cell_angle_alpha 90.00
_cell_angle_beta 90.00
_cell_angle_gamma 90.00
_space_group_name_H-M_alt 'I 41 m d'
_space_group_IT_number 109
_space_group_name_Hall 'I 4bw -2'
loop_
_atom_site_label
_atom_site_fract_x
_atom_site_fract_y
_atom_site_fract_z
V1 0.0000 0.2655 0.0000
V2 0.0000 0.3168 0.4557
P1 0.0000 0.0000 0.5051
H1 0.0000 0.0000 0.9650
```

Main lines, sorted by position (2θ from 10° to 90°):
| index | 2θ (°) | intensity |
| --- | --- | --- |
| 2 0 0 | 25.63 | 13 |
| 2 2 0 | 36.56 | 33 |
| 2 0 2 | 38.42 | 100 |
| 3 1 0 | 41.06 | 20 |
| 3 2 1 | 49.40 | 15 |
| 3 1 2 | 50.51 | 12 |
| 2 1 3 | 52.32 | 9 |
| 4 0 0 | 52.67 | 18 |
| 3 3 2 | 63.95 | 14 |
| 4 2 2 | 67.05 | 15 |

# 2
Calculated powder XRD pattern of LaPm2Pr4Er2 for copper Kα, from the GGA-PBE geometry in Alexandria.
Intensities are scaled so that the largest is 100.

Atomic structure:
```
data_LaPm2Pr4Er2
_cell_length_a 15.5370
_cell_length_b 5.1808
_cell_length_c 8.1693
_cell_angle_alpha 90.00
_cell_angle_beta 108.40
_cell_angle_gamma 90.00
_space_group_name_H-M_alt 'C 1 2/m 1'
_space_group_IT_number 12
_space_group_name_Hall '-C 2y'
loop_
_atom_site_label
_atom_site_fract_x
_atom_site_fract_y
_atom_site_fract_z
La1 0.0000 0.0000 0.0000
Pm1 0.1118 0.0000 0.6680
Pr1 0.0550 0.5000 0.3318
Pr2 0.2225 0.0000 0.3290
Er1 0.1690 0.5000 0.9985
```

Main lines, sorted by position (2θ from 10° to 90°):
| index | 2θ (°) | intensity |
| --- | --- | --- |
| 3 1 1 | 29.90 | 100 |
| 0 2 0 | 34.66 | 51 |
| 6 0 2 | 49.82 | 30 |
| 6 0 -4 | 49.89 | 6 |
| 3 3 1 | 59.17 | 29 |
| 3 1 4 | 59.28 | 14 |
| 6 2 2 | 62.12 | 12 |
| 9 3 0 | 80.93 | 12 |
| 3 3 -5 | 81.04 | 6 |
| 0 4 3 | 83.46 | 10 |

# 3
Calculated powder XRD pattern of Bi6Pd3Au for copper Kα, from the GGA-PBE geometry in Alexandria.
Intensities are scaled so that the largest is 100.

Atomic structure:
```
data_Bi6Pd3Au
_cell_length_a 10.4807
_cell_length_b 14.0857
_cell_length_c 7.2610
_cell_angle_alpha 90.00
_cell_angle_beta 90.00
_cell_angle_gamma 90.00
_space_group_name_H-M_alt 'C m c 21'
_space_group_IT_number 36
_space_group_name_Hall 'C 2c -2'
loop_
_atom_site_label
_atom_site_fract_x
_atom_site_fract_y
_atom_site_fract_z
Bi1 0.0000 0.0004 0.0000
Bi2 0.0000 0.2405 0.3888
Bi3 0.1690 0.4795 0.4515
Bi4 0.1703 0.2743 0.9878
Pd1 0.0000 0.4054 0.1675
Pd2 0.1799 0.1107 0.2350
Au1 0.0000 0.1678 0.7561
```

Main lines, sorted by position (2θ from 10° to 90°):
| index | 2θ (°) | intensity |
| --- | --- | --- |
| 0 0 2 | 24.49 | 71 |
| 0 4 0 | 25.29 | 35 |
| 3 1 0 | 26.28 | 35 |
| 3 1 1 | 29.06 | 48 |
| 2 2 2 | 32.59 | 29 |
| 3 3 1 | 34.29 | 77 |
| 0 4 2 | 35.51 | 100 |
| 3 1 2 | 36.25 | 70 |
| 3 5 0 | 41.16 | 64 |
| 6 4 2 | 64.89 | 36 |

# 4
Calculated powder XRD pattern of Pm3Y5As8 for copper Kα, from the GGA-PBE geometry in Alexandria.
Intensities are scaled so that the largest is 100.

Atomic structure:
```
data_Pm3Y5As8
_cell_length_a 8.3369
_cell_length_b 8.3369
_cell_length_c 20.4034
_cell_angle_alpha 90.00
_cell_angle_beta 90.00
_cell_angle_gamma 120.00
_space_group_name_H-M_alt 'R -3 m'
_space_group_IT_number 166
_space_group_name_Hall '-R 3 2"'
loop_
_atom_site_label
_atom_site_fract_x
_atom_site_fract_y
_atom_site_fract_z
Pm1 0.0000 0.5000 0.0000
Y1 0.0000 0.0000 0.0000
Y2 0.0000 0.0000 0.5000
Y3 0.0000 0.5000 0.5000
As1 0.0000 0.0000 0.2478
As2 0.0029 0.5015 0.7515
```

Main lines, sorted by position (2θ from 10° to 90°):
| index | 2θ (°) | intensity |
| --- | --- | --- |
| 0 0 3 | 13.01 | 3 |
| 0 2 1 | 25.05 | 3 |
| 0 0 6 | 26.19 | 6 |
| 0 2 4 | 30.33 | 100 |
| 2 2 0 | 43.43 | 74 |
| 0 2 10 | 51.42 | 3 |
| 4 0 4 | 53.89 | 26 |
| 0 4 8 | 63.10 | 12 |
| 2 4 4 | 71.61 | 33 |
| 6 0 0 | 79.71 | 24 |

# 5
Calculated powder XRD pattern of PuPaB2O8 for copper Kα, from the GGA-PBE geometry in Alexandria.
Intensities are scaled so that the largest is 100.

Atomic structure:
```
data_PuPaB2O8
_cell_length_a 4.5746
_cell_length_b 4.5746
_cell_length_c 20.4493
_cell_angle_alpha 90.00
_cell_angle_beta 90.00
_cell_angle_gamma 120.00
_space_group_name_H-M_alt 'R 3 2'
_space_group_IT_number 155
_space_group_name_Hall 'R 3 2"'
loop_
_atom_site_label
_atom_site_fract_x
_atom_site_fract_y
_atom_site_fract_z
Pu1 0.0000 0.0000 0.0000
Pa1 0.0000 0.0000 0.5000
B1 0.0000 0.0000 0.2578
O1 0.0000 0.0000 0.3284
O2 0.0134 0.3819 0.4318
```

Main lines, sorted by position (2θ from 10° to 90°):
| index | 2θ (°) | intensity |
| --- | --- | --- |
| 0 1 2 | 24.09 | 100 |
| 0 0 6 | 26.15 | 25 |
| 1 0 4 | 28.50 | 89 |
| 1 1 0 | 39.39 | 38 |
| 0 1 8 | 42.07 | 31 |
| 2 0 2 | 46.71 | 22 |
| 1 1 6 | 47.90 | 53 |
| 0 2 4 | 49.34 | 19 |
| 1 2 2 | 62.71 | 17 |
| 2 1 4 | 64.89 | 17 |

# 6
Calculated powder XRD pattern of HgH4NCl3 for copper Kα, from the GGA-PBE geometry in Alexandria.
Intensities are scaled so that the largest is 100.

Atomic structure:
```
data_HgH4NCl3
_cell_length_a 6.3580
_cell_length_b 6.8459
_cell_length_c 8.1446
_cell_angle_alpha 90.00
_cell_angle_beta 104.90
_cell_angle_gamma 90.00
_space_group_name_H-M_alt 'P 1 21 1'
_space_group_IT_number 4
_space_group_name_Hall 'P 2yb'
loop_
_atom_site_label
_atom_site_fract_x
_atom_site_fract_y
_atom_site_fract_z
Hg1 0.0139 0.0000 0.2352
H1 0.3437 0.9310 0.7161
H2 0.3876 0.3991 0.1898
H3 0.4799 0.4318 0.4049
H4 0.4800 0.6218 0.2736
N1 0.4996 0.4704 0.2861
Cl1 0.0009 0.3012 0.3863
Cl2 0.1696 0.2463 0.9511
Cl3 0.4334 0.9317 0.3083
```

Main lines, sorted by position (2θ from 10° to 90°):
| index | 2θ (°) | intensity |
| --- | --- | --- |
| 1 0 0 | 14.42 | 70 |
| 0 1 1 | 17.17 | 100 |
| 1 1 -1 | 20.51 | 54 |
| 0 0 2 | 22.59 | 28 |
| 1 1 1 | 24.31 | 38 |
| 2 0 0 | 29.07 | 23 |
| 2 1 -1 | 31.26 | 19 |
| 0 2 2 | 34.73 | 32 |
| 0 3 1 | 41.21 | 21 |
| 1 3 -1 | 42.84 | 22 |

# 7
Calculated powder XRD pattern of Ag2I3Br4 for copper Kα, from the GGA-PBE geometry in Alexandria.
Intensities are scaled so that the largest is 100.

Atomic structure:
```
data_Ag2I3Br4
_cell_length_a 14.6448
_cell_length_b 12.6244
_cell_length_c 10.1854
_cell_angle_alpha 90.00
_cell_angle_beta 122.12
_cell_angle_gamma 90.00
_space_group_name_H-M_alt 'C 1 2/c 1'
_space_group_IT_number 15
_space_group_name_Hall '-C 2yc'
loop_
_atom_site_label
_atom_site_fract_x
_atom_site_fract_y
_atom_site_fract_z
Ag1 0.2296 0.1131 0.4973
I1 0.0000 0.4143 0.7500
I2 0.0907 0.0440 0.0107
Br1 0.1298 0.2741 0.5270
Br2 0.2015 0.4117 0.0099
```

Main lines, sorted by position (2θ from 10° to 90°):
| index | 2θ (°) | intensity |
| --- | --- | --- |
| 0 2 0 | 14.03 | 27 |
| 1 1 1 | 16.86 | 35 |
| 2 0 -2 | 17.74 | 26 |
| 1 1 -2 | 19.17 | 36 |
| 0 0 2 | 20.59 | 100 |
| 3 3 -1 | 28.02 | 54 |
| 4 2 -3 | 32.38 | 34 |
| 2 4 -2 | 33.58 | 27 |
| 6 2 -1 | 41.71 | 26 |
| 0 0 4 | 41.89 | 28 |

# 8
Calculated powder XRD pattern of La4Nd3Er for copper Kα, from the GGA-PBE geometry in Alexandria.
Intensities are scaled so that the largest is 100.

Atomic structure:
```
data_La4Nd3Er
_cell_length_a 25.7772
_cell_length_b 3.5373
_cell_length_c 6.2978
_cell_angle_alpha 90.00
_cell_angle_beta 93.70
_cell_angle_gamma 90.00
_space_group_name_H-M_alt 'C 1 2/m 1'
_space_group_IT_number 12
_space_group_name_Hall '-C 2y'
loop_
_atom_site_label
_atom_site_fract_x
_atom_site_fract_y
_atom_site_fract_z
La1 0.1049 0.0000 0.2296
La2 0.2199 0.5000 0.2440
Nd1 0.0000 0.0000 0.5000
Nd2 0.1436 0.0000 0.7402
Er1 0.0000 0.5000 0.0000
```

Main lines, sorted by position (2θ from 10° to 90°):
| index | 2θ (°) | intensity |
| --- | --- | --- |
| 8 0 0 | 27.74 | 60 |
| 2 0 -2 | 28.81 | 60 |
| 1 1 -1 | 29.07 | 100 |
| 8 0 -1 | 30.40 | 57 |
| 5 1 0 | 30.67 | 73 |
| 4 0 -2 | 30.86 | 40 |
| 3 1 1 | 31.14 | 94 |
| 8 0 1 | 32.07 | 58 |
| 7 1 0 | 35.22 | 40 |
| 13 1 1 | 56.01 | 39 |

# 9
Calculated powder XRD pattern of LaCdIn for copper Kα, from the GGA-PBE geometry in Alexandria.
Intensities are scaled so that the largest is 100.

Atomic structure:
```
data_LaCdIn
_cell_length_a 5.0590
_cell_length_b 3.8070
_cell_length_c 8.7582
_cell_angle_alpha 90.00
_cell_angle_beta 90.00
_cell_angle_gamma 90.00
_space_group_name_H-M_alt 'P m m a'
_space_group_IT_number 51
_space_group_name_Hall '-P 2a 2a'
loop_
_atom_site_label
_atom_site_fract_x
_atom_site_fract_y
_atom_site_fract_z
La1 0.2500 0.0000 0.2456
Cd1 0.2500 0.5000 0.5767
In1 0.2500 0.5000 0.9109
```

Main lines, sorted by position (2θ from 10° to 90°):
| index | 2θ (°) | intensity |
| --- | --- | --- |
| 0 1 2 | 31.13 | 100 |
| 2 0 0 | 35.50 | 74 |
| 0 2 0 | 47.78 | 11 |
| 2 1 2 | 47.92 | 29 |
| 2 2 0 | 60.92 | 30 |
| 3 1 1 | 61.03 | 28 |
| 3 0 3 | 63.74 | 13 |
| 4 0 0 | 75.13 | 8 |
| 3 2 3 | 83.45 | 16 |
| 3 1 5 | 83.55 | 7 |

# 10
Calculated powder XRD pattern of Er7Ga2Pb2 for copper Kα, from the GGA-PBE geometry in Alexandria.
Intensities are scaled so that the largest is 100.

Atomic structure:
```
data_Er7Ga2Pb2
_cell_length_a 8.1874
_cell_length_b 10.9917
_cell_length_c 7.2005
_cell_angle_alpha 90.00
_cell_angle_beta 90.00
_cell_angle_gamma 90.00
_space_group_name_H-M_alt 'C m m m'
_space_group_IT_number 65
_space_group_name_Hall '-C 2 2'
loop_
_atom_site_label
_atom_site_fract_x
_atom_site_fract_y
_atom_site_fract_z
Er1 0.0000 0.0000 0.0000
Er2 0.0000 0.5000 0.2400
Er3 0.2500 0.2500 0.2697
Ga1 0.0000 0.2841 0.0000
Pb1 0.1865 0.0000 0.5000
```

Main lines, sorted by position (2θ from 10° to 90°):
| index | 2θ (°) | intensity |
| --- | --- | --- |
| 2 0 1 | 25.02 | 45 |
| 2 2 0 | 27.16 | 41 |
| 1 1 2 | 28.27 | 52 |
| 0 2 2 | 29.66 | 34 |
| 0 4 0 | 32.59 | 65 |
| 1 3 2 | 36.68 | 38 |
| 2 2 2 | 37.06 | 100 |
| 2 4 1 | 41.52 | 21 |
| 2 6 2 | 61.11 | 20 |
| 0 4 4 | 61.59 | 19 |

# 11
Calculated powder XRD pattern of Tl6Bi for copper Kα, from the GGA-PBE geometry in Alexandria.
Intensities are scaled so that the largest is 100.

Atomic structure:
```
data_Tl6Bi
_cell_length_a 5.5280
_cell_length_b 5.5280
_cell_length_c 24.8928
_cell_angle_alpha 90.00
_cell_angle_beta 90.00
_cell_angle_gamma 120.00
_space_group_name_H-M_alt 'R -3 m'
_space_group_IT_number 166
_space_group_name_Hall '-R 3 2"'
loop_
_atom_site_label
_atom_site_fract_x
_atom_site_fract_y
_atom_site_fract_z
Tl1 0.0000 0.0000 0.0696
Tl2 0.0000 0.0000 0.2142
Tl3 0.0000 0.0000 0.3572
Bi1 0.0000 0.0000 0.5000
```

Main lines, sorted by position (2θ from 10° to 90°):
| index | 2θ (°) | intensity |
| --- | --- | --- |
| 1 0 7 | 31.33 | 100 |
| 1 1 0 | 32.39 | 92 |
| 0 2 7 | 45.69 | 36 |
| 0 1 14 | 55.10 | 21 |
| 2 1 7 | 57.11 | 38 |
| 3 0 0 | 57.78 | 18 |
| 2 0 14 | 65.38 | 13 |
| 2 2 0 | 67.81 | 11 |
| 1 2 14 | 74.87 | 17 |
| 1 3 7 | 76.60 | 16 |

# 12
Calculated powder XRD pattern of Pb2O3 for copper Kα, from the GGA-PBE geometry in Alexandria.
Intensities are scaled so that the largest is 100.

Atomic structure:
```
data_Pb2O3
_cell_length_a 3.5710
_cell_length_b 7.4310
_cell_length_c 5.7570
_cell_angle_alpha 90.00
_cell_angle_beta 90.00
_cell_angle_gamma 90.00
_space_group_name_H-M_alt 'P m n 21'
_space_group_IT_number 31
_space_group_name_Hall 'P 2ac -2'
loop_
_atom_site_label
_atom_site_fract_x
_atom_site_fract_y
_atom_site_fract_z
Pb1 0.0000 0.1006 0.0000
Pb2 0.0000 0.3864 0.4762
O1 0.0000 0.4086 0.0420
O2 0.0000 0.8532 0.2563
O3 0.0000 0.8611 0.7520
```

Main lines, sorted by position (2θ from 10° to 90°):
| index | 2θ (°) | intensity |
| --- | --- | --- |
| 1 1 0 | 27.72 | 42 |
| 0 2 1 | 28.59 | 100 |
| 0 0 2 | 31.07 | 41 |
| 1 1 1 | 31.85 | 97 |
| 1 1 2 | 42.11 | 40 |
| 1 3 0 | 44.52 | 29 |
| 1 3 2 | 55.28 | 34 |
| 1 1 3 | 55.77 | 21 |
| 2 2 1 | 59.66 | 27 |
| 2 4 2 | 81.99 | 21 |

# 13
Calculated powder XRD pattern of K2ThRh3O12 for copper Kα, from the GGA-PBE geometry in Alexandria.
Intensities are scaled so that the largest is 100.

Atomic structure:
```
data_K2ThRh3O12
_cell_length_a 7.3934
_cell_length_b 7.3934
_cell_length_c 15.6333
_cell_angle_alpha 90.00
_cell_angle_beta 90.00
_cell_angle_gamma 120.00
_space_group_name_H-M_alt 'R -3 m'
_space_group_IT_number 166
_space_group_name_Hall '-R 3 2"'
loop_
_atom_site_label
_atom_site_fract_x
_atom_site_fract_y
_atom_site_fract_z
K1 0.0000 0.0000 0.0984
Th1 0.0000 0.0000 0.5000
Rh1 0.0000 0.5000 0.0000
O1 0.0521 0.5261 0.8828
O2 0.0841 0.5421 0.2980
```

Main lines, sorted by position (2θ from 10° to 90°):
| index | 2θ (°) | intensity |
| --- | --- | --- |
| 1 0 1 | 14.95 | 100 |
| 1 1 3 | 29.63 | 55 |
| 2 0 2 | 30.17 | 57 |
| 0 1 5 | 31.85 | 21 |
| 0 2 4 | 36.27 | 23 |
| 2 1 1 | 37.61 | 16 |
| 1 0 7 | 42.89 | 16 |
| 0 3 3 | 45.95 | 19 |
| 1 2 5 | 47.51 | 18 |
| 2 2 0 | 49.30 | 28 |